Theoretical powder XRD pattern of Ce11Zn4In9 for a wavelength of 1.5418 Å, from a GGA-PBE-relaxed structure.
Intensities are scaled so that the largest is 100.

Atomic structure:
```
Ce11Zn4In9
1.0
7.7617 -11.2404 0.0000
7.7617 11.2404 0.0000
0.0000 0.0000 3.5768
Ce Zn In
11 4 9
direct
0.0000 0.0000 0.0000
0.0485 0.4248 0.0000
0.1520 0.8480 0.0000
0.3061 0.3061 0.0000
0.3728 0.6272 0.0000
0.4248 0.0485 0.0000
0.5752 0.9515 0.0000
0.6272 0.3728 0.0000
0.6939 0.6939 0.0000
0.8480 0.1520 0.0000
0.9515 0.5752 0.0000
0.2380 0.4496 0.5000
0.4496 0.2380 0.5000
0.5504 0.7620 0.5000
0.7620 0.5504 0.5000
0.0773 0.2242 0.5000
0.1677 0.6387 0.5000
0.2242 0.0773 0.5000
0.3613 0.8323 0.5000
0.5000 0.5000 0.5000
0.6387 0.1677 0.5000
0.7758 0.9227 0.5000
0.8323 0.3613 0.5000
0.9227 0.7758 0.5000
```

Main lines, most intense first (2θ from 10° to 90°):
2θ (°)	I/Imax
34.1	100
34.7	91
33.2	72
31.8	56
62.3	43
35.6	37


Theoretical powder XRD pattern of Ce2ZnIn2 for a wavelength of 1.5418 Å, from a GGA-PBE-relaxed structure.
Intensities are scaled so that the largest is 100.

Atomic structure:
```
Ce2ZnIn2
1.0
5.5946 -2.3956 0.0000
5.5946 2.3956 0.0000
-4.9662 0.0000 9.9425
Ce Zn In
4 2 4
direct
0.0241 0.0241 0.3399
0.1749 0.1749 0.0925
0.8251 0.8251 0.9075
0.9759 0.9759 0.6601
0.2753 0.2753 0.6549
0.7247 0.7247 0.3451
0.3541 0.3541 0.4285
0.4796 0.4796 0.1257
0.5204 0.5204 0.8743
0.6459 0.6459 0.5715
```

Main lines, most intense first (2θ from 10° to 90°):
2θ (°)	I/Imax
30.7	100
37.1	89
37.5	55
32.1	41
34.0	40
30.5	40


Theoretical powder XRD pattern of Ce5Zn3In3 for a wavelength of 1.5418 Å, from a GGA-PBE-relaxed structure.
Intensities are scaled so that the largest is 100.

Atomic structure:
```
Ce5Zn3In3
1.0
10.0056 0.0000 0.0000
-5.0028 8.6651 0.0000
0.0000 0.0000 3.1425
Ce Zn In
5 3 3
direct
0.0000 0.3492 0.0000
0.3333 0.6667 0.0000
0.3492 0.0000 0.0000
0.6508 0.6508 0.0000
0.6667 0.3333 0.0000
0.0000 0.8579 0.0000
0.1421 0.1421 0.0000
0.8579 0.0000 0.0000
0.0000 0.6328 0.5000
0.3672 0.3672 0.5000
0.6328 0.0000 0.5000
```

Main lines, most intense first (2θ from 10° to 90°):
2θ (°)	I/Imax
31.0	100
33.7	86
46.4	45
37.4	25
39.8	22
67.9	21


Theoretical powder XRD pattern of CeZnIn for a wavelength of 1.5418 Å, from a GGA-PBE-relaxed structure.
Intensities are scaled so that the largest is 100.

Atomic structure:
```
CeZnIn
1.0
4.8021 0.0000 0.0000
-2.4010 4.1587 0.0000
0.0000 0.0000 7.2240
Ce Zn In
2 2 2
direct
0.0000 0.0000 0.0000
0.0000 0.0000 0.5000
0.3333 0.6667 0.2500
0.6667 0.3333 0.7500
0.3333 0.6667 0.7500
0.6667 0.3333 0.2500
```

Main lines, most intense first (2θ from 10° to 90°):
2θ (°)	I/Imax
32.8	100
37.5	69
50.7	29
64.7	27
64.6	27
89.1	23


Theoretical powder XRD pattern of Ce3ZnIn2 for a wavelength of 1.5418 Å, from a GGA-PBE-relaxed structure.
Intensities are scaled so that the largest is 100.

Atomic structure:
```
Ce3ZnIn2
1.0
3.2627 0.0000 0.0000
0.0000 3.2627 0.0000
0.0000 0.0000 14.1104
Ce Zn In
3 1 2
direct
0.0000 0.0000 0.0000
0.0000 0.0000 0.3490
0.0000 0.0000 0.6510
0.5000 0.5000 0.5000
0.5000 0.5000 0.1743
0.5000 0.5000 0.8257
```

Main lines, most intense first (2θ from 10° to 90°):
2θ (°)	I/Imax
33.4	100
39.0	34
67.2	26
55.8	20
38.3	15
56.4	11


Theoretical powder XRD pattern of Ce4Ir for a wavelength of 1.5418 Å, from a GGA-PBE-relaxed structure.
Intensities are scaled so that the largest is 100.

Atomic structure:
```
Ce4Ir
1.0
6.9528 0.0000 0.0000
3.4428 6.1525 0.0000
1.7210 3.0703 6.1291
Ce Ir
8 2
direct
0.0000 0.0000 0.0000
0.0465 0.5773 0.3901
0.3587 0.6134 0.9202
0.4325 0.6441 0.3565
0.4998 0.0835 0.8328
0.5462 0.0507 0.4427
0.8583 0.6173 0.9125
0.9329 0.0836 0.4766
0.2236 0.2052 0.1557
0.7242 0.4436 0.6770
```

Main lines, most intense first (2θ from 10° to 90°):
2θ (°)	I/Imax
32.6	100
33.1	84
20.6	72
39.7	65
33.5	55
33.9	51


Theoretical powder XRD pattern of CeIr4 for a wavelength of 1.5418 Å, from a GGA-PBE-relaxed structure.
Intensities are scaled so that the largest is 100.

Atomic structure:
```
CeIr4
1.0
-4.5159 4.5159 4.5159
4.5159 -4.5159 4.5159
4.5159 4.5159 -4.5159
Ce Ir
4 16
direct
0.0000 0.0000 0.5421
0.0000 0.5421 0.0000
0.4579 0.4579 0.4579
0.5421 0.0000 0.0000
0.0000 0.0000 0.2054
0.0000 0.2054 0.0000
0.0000 0.3523 0.3523
0.0000 0.6477 0.6477
0.2054 0.0000 0.0000
0.2500 0.5000 0.7500
0.2500 0.7500 0.5000
0.3523 0.0000 0.3523
0.3523 0.3523 0.0000
0.5000 0.2500 0.7500
0.5000 0.7500 0.2500
0.6477 0.0000 0.6477
0.6477 0.6477 0.0000
0.7500 0.2500 0.5000
0.7500 0.5000 0.2500
0.7946 0.7946 0.7946
```

Main lines, most intense first (2θ from 10° to 90°):
2θ (°)	I/Imax
42.5	100
34.4	84
37.3	41
19.7	29
47.2	28
57.7	23


Theoretical powder XRD pattern of CeIr for a wavelength of 1.5418 Å, from a GGA-PBE-relaxed structure.
Intensities are scaled so that the largest is 100.

Atomic structure:
```
CeIr
1.0
12.1474 0.0000 0.0000
0.0000 3.7641 0.0000
-1.3111 0.0000 3.7814
Ce Ir
4 4
direct
0.1120 0.0000 0.3617
0.3880 0.5000 0.6384
0.6120 0.5000 0.3617
0.8880 0.0000 0.6384
0.1542 0.5000 0.9034
0.3458 0.0000 0.0966
0.6542 0.0000 0.9034
0.8458 0.5000 0.0966
```

Main lines, most intense first (2θ from 10° to 90°):
2θ (°)	I/Imax
36.3	100
31.2	28
45.3	15
48.4	12
77.8	11
58.9	11


Theoretical powder XRD pattern of La2CeIr2 for a wavelength of 1.5418 Å, from a GGA-PBE-relaxed structure.
Intensities are scaled so that the largest is 100.

Atomic structure:
```
La2CeIr2
1.0
2.0029 -6.7372 0.0000
2.0029 6.7372 0.0000
0.0000 0.0000 10.3783
La Ce Ir
4 2 4
direct
0.1023 0.8977 0.5000
0.3587 0.6413 0.6871
0.6413 0.3587 0.1871
0.8977 0.1023 0.0000
0.3632 0.6368 0.3302
0.6368 0.3632 0.8302
0.0064 0.9936 0.7554
0.2444 0.7556 0.9552
0.7556 0.2444 0.4552
0.9936 0.0064 0.2554
```

Main lines, most intense first (2θ from 10° to 90°):
2θ (°)	I/Imax
34.6	100
31.1	92
21.6	70
29.0	62
29.9	48
44.1	41


Theoretical powder XRD pattern of LaCeIr2 for a wavelength of 1.5418 Å, from a GGA-PBE-relaxed structure.
Intensities are scaled so that the largest is 100.

Atomic structure:
```
LaCeIr2
1.0
5.7293 0.0000 0.0000
0.0000 5.7864 0.0000
-3.0948 0.0000 11.1600
La Ce Ir
4 4 8
direct
0.1933 0.1304 0.1428
0.1933 0.8696 0.6428
0.8067 0.1304 0.3572
0.8067 0.8696 0.8572
0.3077 0.3723 0.8621
0.3077 0.6277 0.3621
0.6923 0.3723 0.6379
0.6923 0.6277 0.1379
0.1680 0.3735 0.5997
0.1680 0.6265 0.0997
0.3402 0.1475 0.4181
0.3402 0.8525 0.9181
0.6598 0.1475 0.0819
0.6598 0.8525 0.5819
0.8320 0.3735 0.9003
0.8320 0.6265 0.4003
```

Main lines, most intense first (2θ from 10° to 90°):
2θ (°)	I/Imax
32.1	100
32.0	77
44.5	76
39.5	62
40.1	32
32.4	32


Theoretical powder XRD pattern of LaCe3Ir8 for a wavelength of 1.5418 Å, from a GGA-PBE-relaxed structure.
Intensities are scaled so that the largest is 100.

Atomic structure:
```
LaCe3Ir8
1.0
5.4228 0.0000 0.0000
-2.7114 4.6963 0.0000
0.0000 0.0000 8.8272
La Ce Ir
1 3 8
direct
0.0000 0.0000 0.0000
0.0000 0.0000 0.3621
0.6667 0.3333 0.5023
0.6667 0.3333 0.8575
0.1649 0.3298 0.6784
0.1649 0.8351 0.6784
0.3333 0.6667 0.4306
0.3333 0.6667 0.9317
0.5026 0.0052 0.1848
0.5026 0.4974 0.1848
0.6702 0.8351 0.6784
0.9948 0.4974 0.1848
```

Main lines, most intense first (2θ from 10° to 90°):
2θ (°)	I/Imax
39.7	100
39.0	91
36.0	60
43.7	32
69.3	30
66.2	29


Theoretical powder XRD pattern of LiCeIr for a wavelength of 1.5418 Å, from a GGA-PBE-relaxed structure.
Intensities are scaled so that the largest is 100.

Atomic structure:
```
LiCeIr
1.0
6.4377 0.0000 0.0000
0.0000 6.4377 0.0000
0.0000 0.0000 6.4377
Li Ce Ir
4 4 4
direct
0.0000 0.0000 0.0000
0.0000 0.5000 0.5000
0.5000 0.0000 0.5000
0.5000 0.5000 0.0000
0.0000 0.0000 0.5000
0.0000 0.5000 0.0000
0.5000 0.0000 0.0000
0.5000 0.5000 0.5000
0.2500 0.2500 0.2500
0.2500 0.7500 0.7500
0.7500 0.2500 0.7500
0.7500 0.7500 0.2500
```

Main lines, most intense first (2θ from 10° to 90°):
2θ (°)	I/Imax
23.9	100
39.6	84
46.8	51
71.8	29
62.9	21
77.0	16


Theoretical powder XRD pattern of LiCe5Ir5 for a wavelength of 1.5418 Å, from a GGA-PBE-relaxed structure.
Intensities are scaled so that the largest is 100.

Atomic structure:
```
LiCe5Ir5
1.0
5.9727 -2.7381 0.0000
5.9727 2.7381 0.0000
-2.9076 0.0000 7.8702
Li Ce Ir
1 5 5
direct
0.0000 0.0000 0.0000
0.0000 0.0000 0.5000
0.3221 0.3221 0.6725
0.3259 0.3259 0.1524
0.6741 0.6741 0.8476
0.6779 0.6779 0.3275
0.1320 0.1320 0.8229
0.1423 0.1423 0.3150
0.5000 0.5000 0.0000
0.8577 0.8577 0.6850
0.8680 0.8680 0.1771
```

Main lines, most intense first (2θ from 10° to 90°):
2θ (°)	I/Imax
32.0	100
32.7	98
32.2	85
46.4	64
46.5	62
43.1	44


Theoretical powder XRD pattern of LiCeIrRh for a wavelength of 1.5418 Å, from a GGA-PBE-relaxed structure.
Intensities are scaled so that the largest is 100.

Atomic structure:
```
LiCeIrRh
1.0
3.7732 0.0000 0.0000
0.0000 4.2057 0.0000
0.0000 0.0000 4.2324
Li Ce Ir Rh
1 1 1 1
direct
0.0000 0.0000 0.0000
0.0000 0.5000 0.5000
0.5000 0.0000 0.5000
0.5000 0.5000 0.0000
```

Main lines, most intense first (2θ from 10° to 90°):
2θ (°)	I/Imax
38.5	100
21.0	28
31.9	21
48.3	20
42.7	19
43.0	18